1.
NaMnCuO2: simulated XRD peak list (Cu Kα X-rays), based on a crystal structure in Alexandria, relaxed with GGA+U.
Peak positions follow from Bragg's law for the DFT cell and can differ from measured ones.

Structure:
Cell: 5.1902 4.8510 5.9912 Å, 90.00 90.13 90.00°
Space group P2/c (No. 13)
Symmetry-distinct sites (fractional):
Na  0.0000  0.0036  0.2500
Mn  0.5000  0.5005  0.2500
Cu  0.5000  0.0000  0.0000
O  0.2770  0.2896  0.9997

The 10 most intense peaks (10° ≤ 2θ ≤ 80°), by angle:
- (1 0 0), d = 5.190 Å, 2θ = 17.08°, intensity 100.0
- (2 0 0), d = 2.595 Å, 2θ = 34.57°, intensity 26.3
- (0 1 2), d = 2.549 Å, 2θ = 35.21°, intensity 24.1
- (0 2 0), d = 2.426 Å, 2θ = 37.06°, intensity 17.8
- (1 1 2), d = 2.288 Å, 2θ = 39.38°, intensity 93.9
- (1 2 0), d = 2.197 Å, 2θ = 41.08°, intensity 16.6
- (2 1 -2), d = 1.820 Å, 2θ = 50.12°, intensity 11.3
- (2 1 2), d = 1.817 Å, 2θ = 50.22°, intensity 11.2
- (2 2 0), d = 1.772 Å, 2θ = 51.58°, intensity 28.8
- (1 3 2), d = 1.372 Å, 2θ = 68.36°, intensity 16.3



2.
Mn9CdO10: simulated XRD peak list (Cu Kα X-rays), based on a crystal structure in Alexandria, relaxed with GGA+U.
Peak positions follow from Bragg's law for the DFT cell and can differ from measured ones.

Structure:
Cell: 5.5669 16.0618 5.5664 Å, 90.00 109.57 90.00°
Space group C2/m (No. 12)
Symmetry-distinct sites (fractional):
Mn  0.0000  0.0000  0.0000
Mn  0.0000  0.1009  0.5000
Mn  0.0000  0.2014  0.0000
Mn  0.0000  0.2992  0.5000
Mn  0.0000  0.3992  0.0000
Cd  0.0000  0.5000  0.5000
O  0.2405  0.0000  0.7595
O  0.2435  0.1042  0.2436
O  0.2483  0.3005  0.2513

The 10 most intense peaks (10° ≤ 2θ ≤ 80°), by angle:
- (0 2 0), d = 8.031 Å, 2θ = 11.02°, intensity 2.8
- (1 1 0), d = 4.986 Å, 2θ = 17.79°, intensity 2.4
- (1 1 -1), d = 4.383 Å, 2θ = 20.26°, intensity 3.8
- (1 3 0), d = 3.747 Å, 2θ = 23.75°, intensity 1.3
- (2 0 0), d = 2.623 Å, 2θ = 34.18°, intensity 69.1
- (1 5 1), d = 2.272 Å, 2θ = 39.67°, intensity 100.0
- (2 0 2), d = 1.606 Å, 2θ = 57.36°, intensity 59.2
- (4 0 -2), d = 1.370 Å, 2θ = 68.47°, intensity 18.2
- (3 5 1), d = 1.369 Å, 2θ = 68.54°, intensity 9.1
- (4 0 0), d = 1.312 Å, 2θ = 72.00°, intensity 18.2